[1]
For Co4Si2Tc, a DFT-relaxed cell (GGA-PBE, Alexandria) gives the simulated powder diffractogram in this record (Cu Kα X-rays).
No peak broadening, texture or thermal motion is included.

Top 6 peaks for 10 to 90 degrees two-theta, sorted by position:
| 2θ (°) | I/Imax |
| --- | --- |
| 24.28 | 46.5 |
| 35.67 | 29.1 |
| 43.89 | 95.7 |
| 44.25 | 100.0 |
| 48.55 | 45.5 |
| 53.93 | 39.3 |

Crystal structure
```
Co4Si2Tc
1.0
2.5443 0.0000 0.0000
0.0000 3.7504 0.0000
0.0000 0.0000 17.2905
Co Si Tc
8 4 2
Direct
0.0000 0.0000 0.1461
0.0000 0.0000 0.8539
0.0000 0.5000 0.2288
0.0000 0.5000 0.7712
0.5000 0.0000 0.2712
0.5000 0.0000 0.7288
0.5000 0.5000 0.3539
0.5000 0.5000 0.6461
0.0000 0.0000 0.4069
0.0000 0.0000 0.5931
0.5000 0.5000 0.0931
0.5000 0.5000 0.9069
0.0000 0.0000 0.0000
0.5000 0.5000 0.5000
```

[2]
For Rb3HoU2S6, a DFT-relaxed cell (GGA-PBE, Alexandria) gives the simulated powder diffractogram in this record (Cu Kα X-rays).
No peak broadening, texture or thermal motion is included.

Top 6 peaks for 10 to 90 degrees two-theta, sorted by position:
| 2θ (°) | I/Imax |
| --- | --- |
| 11.45 | 48.3 |
| 23.02 | 28.5 |
| 26.41 | 54.2 |
| 29.65 | 100.0 |
| 40.28 | 38.3 |
| 44.49 | 33.6 |

Crystal structure
```
Rb3HoU2S6
1.0
3.5272 -6.1096 0.0000
3.5272 6.1096 0.0000
-2.3513 0.0000 7.7279
Rb Ho U S
3 1 2 6
Direct
0.0000 0.0000 0.0000
0.3338 0.6662 0.0000
0.6662 0.3338 0.0000
0.5000 0.5000 0.5000
0.1667 0.8333 0.5000
0.8333 0.1667 0.5000
0.1034 0.4356 0.3070
0.2320 0.2320 0.6929
0.4356 0.1034 0.3070
0.5644 0.8966 0.6930
0.7680 0.7680 0.3071
0.8966 0.5644 0.6930
```

[3]
For PrNbIO4, a DFT-relaxed cell (GGA-PBE, Alexandria) gives the simulated powder diffractogram in this record (Cu Kα X-rays).
No peak broadening, texture or thermal motion is included.

Top 6 peaks for 10 to 90 degrees two-theta, sorted by position:
| 2θ (°) | I/Imax |
| --- | --- |
| 25.26 | 100.0 |
| 25.49 | 37.9 |
| 25.78 | 48.6 |
| 26.47 | 73.1 |
| 30.73 | 29.9 |
| 32.02 | 29.6 |

Crystal structure
```
PrNbIO4
1.0
6.4067 -3.3678 0.0000
6.4067 3.3678 0.0000
-1.7910 0.0000 6.9892
Pr Nb I O
2 2 2 8
Direct
0.2085 0.2085 0.3358
0.7915 0.7915 0.6642
0.1257 0.1257 0.7467
0.8743 0.8743 0.2533
0.4727 0.4727 0.8084
0.5273 0.5273 0.1916
0.0229 0.0229 0.2958
0.0343 0.6075 0.3785
0.1876 0.1876 0.0075
0.3925 0.9657 0.6215
0.6075 0.0343 0.3785
0.8124 0.8124 0.9925
0.9657 0.3925 0.6215
0.9771 0.9771 0.7042
```